[1]
The following is a theoretical X-ray diffraction stick pattern of DyPu2O11. It was derived from a GGA-PBE-relaxed structure, using Cu Kα (λ = 1.5418 Å).
Peak positions follow from Bragg's law for the DFT cell and can differ from measured ones.

Structural model:
abc: 8.426 8.426 8.426
angles: 102.67 118.36 107.80
Element x y z (fractional)
Dy 0.000 0.000 0.000
Dy 0.000 0.500 0.500
Pu 0.079 0.030 0.549
Pu 0.480 0.530 0.451
Pu 0.502 0.990 0.012
Pu 0.977 0.490 0.988
O 0.036 0.040 0.749
O 0.036 0.787 0.497
O 0.095 0.014 0.332
O 0.095 0.262 0.580
O 0.290 0.287 0.251
O 0.290 0.540 0.503
O 0.302 0.597 0.205
O 0.305 0.001 0.055
O 0.305 0.751 0.804
O 0.391 0.097 0.795
O 0.484 0.341 0.643
O 0.530 0.816 0.214
O 0.601 0.316 0.786
O 0.682 0.514 0.420
O 0.682 0.762 0.668
O 0.698 0.841 0.357
O 0.711 0.216 0.244
O 0.711 0.968 0.995
O 0.946 0.251 0.945
O 0.946 0.501 0.196
O 0.973 0.468 0.756
O 0.973 0.716 0.005

Largest 10 diffraction maxima, most intense first, 10 to 90 degrees two-theta:
- 2θ 24.65, intensity 100
- 2θ 27.38, intensity 71
- 2θ 26.71, intensity 69
- 2θ 16.84, intensity 44
- 2θ 44.24, intensity 40
- 2θ 21.70, intensity 37
- 2θ 45.54, intensity 32
- 2θ 13.59, intensity 30
- 2θ 17.87, intensity 27
- 2θ 50.52, intensity 26



[2]
The following is a theoretical X-ray diffraction stick pattern of DyPu2O7. It was derived from a GGA-PBE-relaxed structure, using Cu Kα (λ = 1.5418 Å).
Peak positions follow from Bragg's law for the DFT cell and can differ from measured ones.

Structural model:
abc: 10.406 10.406 10.406
angles: 21.11 21.11 21.11
Element x y z (fractional)
Dy 0.000 0.000 0.000
Pu 0.433 0.433 0.433
Pu 0.567 0.567 0.567
O 0.077 0.077 0.077
O 0.220 0.220 0.220
O 0.362 0.362 0.362
O 0.500 0.500 0.500
O 0.638 0.638 0.638
O 0.780 0.780 0.780
O 0.923 0.923 0.923

Largest 10 diffraction maxima, most intense first, 10 to 90 degrees two-theta:
- 2θ 27.64, intensity 100
- 2θ 34.07, intensity 68
- 2θ 47.71, intensity 57
- 2θ 30.79, intensity 56
- 2θ 26.29, intensity 48
- 2θ 50.16, intensity 44
- 2θ 55.29, intensity 38
- 2θ 27.17, intensity 34
- 2θ 17.44, intensity 26
- 2θ 55.66, intensity 22



[3]
The following is a theoretical X-ray diffraction stick pattern of Dy2PuO6. It was derived from a GGA-PBE-relaxed structure, using Cu Kα (λ = 1.5418 Å).
Peak positions follow from Bragg's law for the DFT cell and can differ from measured ones.

Structural model:
abc: 5.090 5.090 10.374
angles: 90.00 90.00 90.00
Element x y z (fractional)
Dy 0.000 0.000 0.166
Dy 0.000 0.000 0.834
Dy 0.500 0.500 0.334
Dy 0.500 0.500 0.666
Pu 0.000 0.000 0.500
Pu 0.500 0.500 0.000
O 0.185 0.185 0.346
O 0.185 0.185 0.654
O 0.209 0.209 0.000
O 0.291 0.709 0.500
O 0.315 0.685 0.154
O 0.315 0.685 0.846
O 0.685 0.315 0.154
O 0.685 0.315 0.846
O 0.709 0.291 0.500
O 0.791 0.791 0.000
O 0.815 0.815 0.346
O 0.815 0.815 0.654

Largest 10 diffraction maxima, most intense first, 10 to 90 degrees two-theta:
- 2θ 24.74, intensity 100
- 2θ 31.27, intensity 92
- 2θ 47.84, intensity 71
- 2θ 35.27, intensity 29
- 2θ 60.81, intensity 20
- 2θ 59.30, intensity 18
- 2θ 57.24, intensity 18
- 2θ 72.30, intensity 17
- 2θ 50.73, intensity 16
- 2θ 83.07, intensity 14